This entry pairs a crystal structure of Al2Se3O12 with its simulated powder diffractogram. Radiation: copper Kα. Structure: DFT lattice parameters and positions (GGA-PBE).
Peak positions follow from Bragg's law for the DFT cell and can differ from measured ones.

Top 12 peaks for 10° ≤ 2θ ≤ 90°, in order of rising 2θ:
hkl, 2theta, I (rel.)
0 2 0, 12.1, 25.2
2 0 0, 13.3, 57.7
0 2 1, 20.5, 91.7
3 1 0, 20.9, 30.6
2 2 -1, 21.4, 28.0
3 1 -1, 22.3, 96.9
0 4 0, 24.3, 81.9
3 3 0, 27.1, 60.8
2 2 1, 27.3, 100.0
3 3 -1, 28.3, 27.1
3 5 -1, 37.6, 31.1
6 2 -1, 40.6, 28.8

Atomic structure:
Cell: 14.0641 14.6743 5.6702 Å, 90.00 108.80 90.00°
Space group Cc (No. 9)
Unique sites:
Al 0.0000 0.0003 0.0000 (multiplicity 4)
Al 0.4332 0.0501 0.3276 (multiplicity 4)
Se 0.0441 0.3539 0.4566 (multiplicity 4)
Se 0.1544 0.1402 0.8761 (multiplicity 4)
Se 0.3950 0.3687 0.6683 (multiplicity 4)
O 0.0894 0.0228 0.8206 (multiplicity 4)
O 0.1503 0.4061 0.5872 (multiplicity 4)
O 0.1616 0.3427 0.0983 (multiplicity 4)
O 0.2243 0.1433 0.6968 (multiplicity 4)
O 0.2405 0.1204 0.1977 (multiplicity 4)
O 0.2508 0.3623 0.1407 (multiplicity 4)
O 0.3026 0.0415 0.2013 (multiplicity 4)
O 0.3958 0.4903 0.6687 (multiplicity 4)
O 0.4717 0.0488 0.6772 (multiplicity 4)
O 0.4759 0.3683 0.4977 (multiplicity 4)
O 0.4768 0.1387 0.1648 (multiplicity 4)
O 0.4769 0.3681 0.9680 (multiplicity 4)